1.
This entry pairs a crystal structure of Dy4Ga12Ni with its theoretical PXRD pattern. Radiation: Cu Ka. Structure: a cell relaxed with GGA-PBE.
Lines closer than 0.1° are merged.

The 12 most intense peaks (5° ≤ 2θ ≤ 70°), low angle first:
hkl 2 0 0, 4.304 Å, 2θ 20.64, rel. 11
hkl 2 2 0, 3.043 Å, 2θ 29.35, rel. 26
hkl 2 2 2, 2.485 Å, 2θ 36.15, rel. 100
hkl 3 2 1, 2.301 Å, 2θ 39.16, rel. 5
hkl 4 0 0, 2.152 Å, 2θ 41.98, rel. 58
hkl 3 3 0, 2.029 Å, 2θ 44.66, rel. 3
hkl 4 2 0, 1.925 Å, 2θ 47.22, rel. 8
hkl 3 3 2, 1.835 Å, 2θ 49.68, rel. 5
hkl 4 2 2, 1.757 Å, 2θ 52.05, rel. 8
hkl 4 4 0, 1.522 Å, 2θ 60.88, rel. 35
hkl 4 4 2, 1.435 Å, 2θ 65.01, rel. 5
hkl 6 2 0, 1.361 Å, 2θ 69.00, rel. 7

Structural model:
Cell lengths 8.6082, 8.6082, 8.6082 Å; angles 90.00, 90.00, 90.00 degrees
Space group Im-3m (No. 229)
Symmetry-distinct sites (fractional):
Dy: 0.2500 0.2500 0.2500
Ga: 0.0000 0.0000 0.2895
Ga: 0.0000 0.2500 0.5000
Ni: 0.0000 0.0000 0.0000

=====

2.
This entry pairs a crystal structure of Dy4Ga21Ni10 with its theoretical PXRD pattern. Radiation: Cu Ka. Structure: a cell relaxed with GGA-PBE.
Lines closer than 0.1° are merged.

The 12 most intense peaks (5° ≤ 2θ ≤ 70°), low angle first:
hkl 1 1 -4, 2.660 Å, 2θ 33.70, rel. 15
hkl 3 1 -5, 2.452 Å, 2θ 36.65, rel. 13
hkl 5 1 -5, 2.440 Å, 2θ 36.84, rel. 32
hkl 7 1 -3, 2.415 Å, 2θ 37.23, rel. 13
hkl 5 1 1, 2.374 Å, 2θ 37.90, rel. 100
hkl 1 1 4, 2.335 Å, 2θ 38.56, rel. 43
hkl 7 1 -1, 2.261 Å, 2θ 39.86, rel. 11
hkl 6 0 2, 2.183 Å, 2θ 41.35, rel. 10
hkl 8 0 0, 2.147 Å, 2θ 42.09, rel. 13
hkl 10 0 -4, 2.096 Å, 2θ 43.17, rel. 14
hkl 0 2 0, 2.040 Å, 2θ 44.40, rel. 53
hkl 1 1 -6, 1.982 Å, 2θ 45.77, rel. 16

Structural model:
Cell lengths 20.9757, 4.0807, 15.5308 Å; angles 90.00, 125.03, 90.00 degrees
Space group C2/m (No. 12)
Symmetry-distinct sites (fractional):
Dy: 0.1205 0.0000 0.3337
Dy: 0.2294 0.0000 0.8236
Ga: 0.0000 0.5000 0.5000
Ga: 0.0066 0.0000 0.0909
Ga: 0.0400 0.5000 0.3685
Ga: 0.0644 0.0000 0.7949
Ga: 0.1013 0.5000 0.9972
Ga: 0.1140 0.5000 0.7047
Ga: 0.1181 0.0000 0.5551
Ga: 0.1271 0.5000 0.1944
Ga: 0.2001 0.0000 0.0016
Ga: 0.2025 0.5000 0.5032
Ga: 0.2481 0.0000 0.2941
Ni: 0.0027 0.5000 0.1856
Ni: 0.0243 0.0000 0.6059
Ni: 0.1322 0.0000 0.1026
Ni: 0.1529 0.5000 0.8893
Ni: 0.2494 0.5000 0.3846

=====

3.
This entry pairs a crystal structure of Dy3GaNiS7 with its theoretical PXRD pattern. Radiation: Cu Ka. Structure: a cell relaxed with GGA-PBE.
Lines closer than 0.1° are merged.

The 12 most intense peaks (5° ≤ 2θ ≤ 70°), low angle first:
hkl 1 0 1, 4.941 Å, 2θ 17.95, rel. 24
hkl 2 0 1, 3.433 Å, 2θ 25.95, rel. 100
hkl 2 1 0, 3.125 Å, 2θ 28.56, rel. 20
hkl 0 0 2, 3.081 Å, 2θ 28.98, rel. 15
hkl 3 0 1, 2.516 Å, 2θ 35.69, rel. 28
hkl 2 0 2, 2.470 Å, 2θ 36.37, rel. 35
hkl 2 2 0, 2.387 Å, 2θ 37.69, rel. 38
hkl 2 1 2, 2.194 Å, 2θ 41.14, rel. 20
hkl 1 3 1, 2.149 Å, 2θ 42.04, rel. 15
hkl 2 2 2, 1.887 Å, 2θ 48.23, rel. 15
hkl 2 0 3, 1.840 Å, 2θ 49.55, rel. 30
hkl 4 1 1, 1.732 Å, 2θ 52.87, rel. 16

Structural model:
Cell lengths 9.5472, 9.5472, 6.1624 Å; angles 90.00, 90.00, 120.00 degrees
Space group P6_3 (No. 173)
Symmetry-distinct sites (fractional):
Dy: 0.1562 0.7812 0.0000
Ga: 0.3333 0.6667 0.5709
Ni: 0.0000 0.0000 0.1764
S: 0.0857 0.5200 0.7313
S: 0.1007 0.8689 0.4112
S: 0.3333 0.6667 0.2052

=====

4.
This entry pairs a crystal structure of Dy3GaNiSe7 with its theoretical PXRD pattern. Radiation: Cu Ka. Structure: a cell relaxed with GGA-PBE.
Lines closer than 0.1° are merged.

The 12 most intense peaks (5° ≤ 2θ ≤ 70°), low angle first:
hkl 1 0 1, 5.195 Å, 2θ 17.07, rel. 34
hkl 2 0 1, 3.600 Å, 2θ 24.73, rel. 100
hkl 1 2 1, 2.920 Å, 2θ 30.62, rel. 73
hkl 1 1 2, 2.723 Å, 2θ 32.89, rel. 32
hkl 3 0 1, 2.635 Å, 2θ 34.02, rel. 85
hkl 2 0 2, 2.597 Å, 2θ 34.53, rel. 98
hkl 2 2 0, 2.497 Å, 2θ 35.97, rel. 96
hkl 1 2 2, 2.304 Å, 2θ 39.09, rel. 44
hkl 3 1 1, 2.250 Å, 2θ 40.07, rel. 34
hkl 4 0 1, 2.052 Å, 2θ 44.15, rel. 30
hkl 2 0 3, 1.937 Å, 2θ 46.92, rel. 54
hkl 1 4 1, 1.812 Å, 2θ 50.35, rel. 30

Structural model:
Cell lengths 9.9863, 9.9863, 6.4979 Å; angles 90.00, 90.00, 120.00 degrees
Space group P6_3 (No. 173)
Symmetry-distinct sites (fractional):
Dy: 0.1596 0.3741 0.0000
Ga: 0.3333 0.6667 0.5746
Ni: 0.0000 0.0000 0.1751
Se: 0.0818 0.5617 0.7335
Se: 0.1041 0.2348 0.4094
Se: 0.3333 0.6667 0.2044